1.
Simulated powder X-ray diffraction pattern of KV3Pb2O8 for CuKα, from a crystal structure in Alexandria, relaxed with PBE+U.

Top 10 peaks for 2θ = 10–90°, by intensity:
hkl 2 0 1, 2θ 28.9, rel. 100.0
hkl 0 2 1, 2θ 32.3, rel. 67.3
hkl 1 1 -2, 2θ 28.7, rel. 60.0
hkl 1 1 -1, 2θ 19.0, rel. 57.2
hkl 3 1 -2, 2θ 32.1, rel. 34.2
hkl 0 4 0, 2θ 59.9, rel. 31.3
hkl 2 0 0, 2θ 19.1, rel. 29.5
hkl 2 2 1, 2θ 41.4, rel. 22.6
hkl 4 2 -3, 2θ 50.9, rel. 21.6
hkl 4 0 -4, 2θ 51.1, rel. 20.6

Crystal structure
abc: 10.7145 6.1780 7.3172
angles: 90.00 119.85 90.00
Space group Cm (No. 8)
One atom of each set of equivalent atoms:
K  0.0000  0.0000  0.0000
V  0.1389  0.5000  0.4186
V  0.3845  0.2497  0.4114
Pb  0.1581  0.5000  0.9744
Pb  0.2482  0.0000  0.7507
O  0.0960  0.2681  0.5749
O  0.1801  0.2760  0.2456
O  0.3704  0.5000  0.5814
O  0.3710  0.0000  0.5786
O  0.3934  0.5000  0.2396
O  0.4099  0.0000  0.2576

2.
Simulated powder X-ray diffraction pattern of KVPbO5 for CuKα, from a crystal structure in Alexandria, relaxed with PBE+U.

Top 10 peaks for 2θ = 10–90°, by intensity:
hkl 1 1 0, 2θ 15.9, rel. 100.0
hkl 1 1 -2, 2θ 25.1, rel. 80.4
hkl 1 3 0, 2θ 30.1, rel. 57.2
hkl 2 0 0, 2θ 26.4, rel. 49.3
hkl 0 2 2, 2θ 31.3, rel. 45.2
hkl 0 2 0, 2θ 17.9, rel. 27.6
hkl 2 2 -2, 2θ 33.6, rel. 24.1
hkl 3 1 -2, 2θ 38.8, rel. 23.0
hkl 1 1 2, 2θ 34.6, rel. 20.8
hkl 3 3 0, 2θ 49.0, rel. 17.5

Crystal structure
abc: 7.3927 9.9342 7.6532
angles: 90.00 114.20 90.00
Space group C2/c (No. 15)
One atom of each set of equivalent atoms:
K  0.0000  0.1590  0.2500
V  0.0000  0.1874  0.7500
Pb  0.0000  0.5000  0.0000
O  0.0000  0.4173  0.2500
O  0.0966  0.2913  0.6237
O  0.1834  0.0815  0.9072

3.
Simulated powder X-ray diffraction pattern of K2Pb2WO6 for CuKα, from a crystal structure in Alexandria, relaxed with PBE+U.

Top 10 peaks for 2θ = 10–90°, by intensity:
hkl 0 0 1, 2θ 14.1, rel. 100.0
hkl 1 3 1, 2θ 35.2, rel. 41.5
hkl 1 3 -1, 2θ 31.3, rel. 35.4
hkl 1 3 0, 2θ 30.0, rel. 28.3
hkl 0 0 2, 2θ 28.5, rel. 24.0
hkl 2 0 -2, 2θ 34.2, rel. 22.5
hkl 2 0 0, 2θ 29.2, rel. 22.2
hkl 2 0 -1, 2θ 28.3, rel. 16.2
hkl 1 3 -3, 2θ 49.5, rel. 14.0
hkl 3 3 -1, 2θ 50.3, rel. 13.7

Crystal structure
abc: 6.4237 10.2247 6.5731
angles: 90.00 107.65 90.00
Space group C2/m (No. 12)
One atom of each set of equivalent atoms:
K  0.0000  0.1723  0.0000
Pb  0.0000  0.3369  0.5000
W  0.0000  0.0000  0.5000
O  0.1816  0.0000  0.3096
O  0.1877  0.1406  0.6748